The following is a computed powder X-ray diffraction pattern of Li5MnO3F2. It was derived from a structure optimized by DFT (GGA+U), using Cu Kα.
Lines closer than 0.1° are merged.

Main lines, most intense first (10 to 90 degrees two-theta):
| 2θ/deg | d [Å] | I_rel |
| --- | --- | --- |
| 15.61 | 5.676 | 1000 |
| 24.54 | 3.628 | 956 |
| 42.57 | 2.124 | 876 |
| 20.90 | 4.251 | 677 |
| 45.83 | 1.980 | 431 |
| 64.33 | 1.448 | 408 |
| 28.85 | 3.094 | 402 |
| 42.85 | 2.111 | 270 |
| 56.01 | 1.642 | 195 |
| 19.62 | 4.524 | 149 |

Structure:
Cell: 5.1621 5.1621 5.9812 Å, 106.93 106.93 45.11°
Sites, in units of the cell vectors:
Li1 0.0000 0.0000 0.0000
Li2 0.2978 0.2978 0.1890
Li3 0.3265 0.3265 0.6223
Li4 0.6735 0.6735 0.3777
Li5 0.7022 0.7022 0.8110
Mn1 0.0000 0.0000 0.5000
O1 0.1388 0.1388 0.3230
O2 0.5000 0.5000 0.5000
O3 0.8612 0.8612 0.6770
F1 0.1796 0.1796 0.8535
F2 0.8204 0.8204 0.1465